Record 1
This entry pairs a crystal structure of Ba2Ga5Ge3 with its computed XRD peak list. Radiation: Cu Kα, 1.54184 Å. Structure: a cell relaxed with PBE.
No peak broadening, texture or thermal motion is included.

Structure:
```
data_Ba2Ga5Ge3
_cell_length_a 4.7957
_cell_length_b 4.7957
_cell_length_c 10.2953
_cell_angle_alpha 90.00
_cell_angle_beta 90.00
_cell_angle_gamma 90.00
_symmetry_space_group_name_H-M 'P -4 m 2'
_symmetry_Int_Tables_number 115
_symmetry_space_group_name_Hall 'P -4 -2'
loop_
_atom_site_label
_atom_site_type_symbol
_atom_site_fract_x
_atom_site_fract_y
_atom_site_fract_z
_atom_site_occupancy
Ba1 Ba 0.0000 0.5000 0.2485 1
Ga1 Ga 0.0000 0.0000 0.0000 1
Ga2 Ga 0.0000 0.0000 0.5000 1
Ga3 Ga 0.0000 0.5000 0.8753 1
Ga4 Ga 0.5000 0.5000 0.0000 1
Ge1 Ge 0.0000 0.5000 0.6163 1
Ge2 Ge 0.5000 0.5000 0.5000 1
```

Principal peaks in the range 10° ≤ 2θ ≤ 80°, in order of rising 2θ:
2θ = 26.28°, I 19
2θ = 31.59°, I 100
2θ = 32.07°, I 79
2θ = 37.51°, I 78
2θ = 48.09°, I 20
2θ = 50.16°, I 44
2θ = 54.09°, I 27
2θ = 60.47°, I 19
2θ = 62.53°, I 18
2θ = 64.00°, I 26

=====

Record 2
This entry pairs a crystal structure of Ba2Ga2Ge with its computed XRD peak list. Radiation: Cu Kα, 1.54184 Å. Structure: a cell relaxed with PBE.
No peak broadening, texture or thermal motion is included.

Structure:
```
data_Ba2Ga2Ge
_cell_length_a 4.8984
_cell_length_b 4.2472
_cell_length_c 15.0277
_cell_angle_alpha 90.00
_cell_angle_beta 90.00
_cell_angle_gamma 90.00
_symmetry_space_group_name_H-M 'A m m 2'
_symmetry_Int_Tables_number 38
_symmetry_space_group_name_Hall 'A 2 -2'
loop_
_atom_site_label
_atom_site_type_symbol
_atom_site_fract_x
_atom_site_fract_y
_atom_site_fract_z
_atom_site_occupancy
Ba1 Ba 0.0000 0.0000 0.0000 1
Ba2 Ba 0.0000 0.0000 0.2434 1
Ga1 Ga 0.5000 0.0000 0.4207 1
Ga2 Ga 0.5000 0.0000 0.6126 1
Ge1 Ge 0.5000 0.0000 0.8263 1
```

Principal peaks in the range 10° ≤ 2θ ≤ 80°, in order of rising 2θ:
2θ = 28.44°, I 100
2θ = 29.97°, I 71
2θ = 33.15°, I 34
2θ = 36.65°, I 80
2θ = 42.57°, I 21
2θ = 52.82°, I 33
2θ = 52.94°, I 28
2θ = 57.43°, I 17
2θ = 62.73°, I 14
2θ = 78.07°, I 12

=====

Record 3
This entry pairs a crystal structure of BaGa3Ge with its computed XRD peak list. Radiation: Cu Kα, 1.54184 Å. Structure: a cell relaxed with PBE.
No peak broadening, texture or thermal motion is included.

Structure:
```
data_BaGa3Ge
_cell_length_a 4.6181
_cell_length_b 4.8744
_cell_length_c 10.4531
_cell_angle_alpha 90.00
_cell_angle_beta 90.00
_cell_angle_gamma 90.00
_symmetry_space_group_name_H-M 'I m m 2'
_symmetry_Int_Tables_number 44
_symmetry_space_group_name_Hall 'I 2 -2'
loop_
_atom_site_label
_atom_site_type_symbol
_atom_site_fract_x
_atom_site_fract_y
_atom_site_fract_z
_atom_site_occupancy
Ba1 Ba 0.0000 0.0000 0.0000 1
Ga1 Ga 0.0000 0.0000 0.6303 1
Ga2 Ga 0.0000 0.5000 0.2556 1
Ga3 Ga 0.0000 0.5000 0.7449 1
Ge1 Ge 0.0000 0.0000 0.3788 1
```

Principal peaks in the range 10° ≤ 2θ ≤ 80°, in order of rising 2θ:
2θ = 26.59°, I 18
2θ = 31.56°, I 33
2θ = 31.71°, I 100
2θ = 32.18°, I 40
2θ = 36.88°, I 40
2θ = 39.01°, I 34
2θ = 49.74°, I 23
2θ = 51.01°, I 17
2θ = 54.76°, I 25
2θ = 63.20°, I 18